Record 1
Simulated PXRD pattern of Li3Co3NiO8 for Cu Kα (λ = 1.5418 Å), from a cell relaxed with PBE+U.

Main lines, in order of rising 2θ (2θ from 5° to 70°):
18.22°, I = 1000
36.11°, I = 259
36.69°, I = 120
37.73°, I = 86
43.56°, I = 424
44.13°, I = 203
47.66°, I = 82
57.25°, I = 97
62.87°, I = 112
64.62°, I = 110

Structure:
```
Li3Co3NiO8
1.0
4.9721 -2.9288 0.0000
4.9721 2.9288 0.0000
-3.3296 0.0000 4.8687
Li Co Ni O
3 3 1 8
direct
0.0000 0.0000 0.0000
0.0000 0.5000 0.0000
0.5000 0.0000 0.0000
0.0000 0.0000 0.5000
0.0000 0.5000 0.5000
0.5000 0.0000 0.5000
0.5000 0.5000 0.5000
0.2183 0.7578 0.7121
0.2301 0.2301 0.7196
0.2422 0.7817 0.2879
0.2523 0.2523 0.2726
0.7477 0.7477 0.7274
0.7578 0.2183 0.7121
0.7699 0.7699 0.2804
0.7817 0.2422 0.2879
```

Record 2
Simulated PXRD pattern of Li5CoNi4O10 for Cu Kα (λ = 1.5418 Å), from a cell relaxed with PBE+U.

Main lines, in order of rising 2θ (2θ from 5° to 70°):
18.57°, I = 1000
36.27°, I = 290
36.42°, I = 134
38.01°, I = 105
43.91°, I = 486
44.29°, I = 230
57.95°, I = 116
63.98°, I = 126
64.28°, I = 130
67.41°, I = 96

Structure:
```
Li5CoNi4O10
1.0
11.9199 -1.4512 0.0000
11.9199 1.4512 0.0000
-0.4268 0.0000 5.0275
Li Co Ni O
5 1 4 10
direct
0.0000 0.0000 0.0000
0.1993 0.1993 0.4003
0.3972 0.3972 0.8024
0.6028 0.6028 0.1976
0.8007 0.8007 0.5997
0.5000 0.5000 0.5000
0.1005 0.1005 0.7022
0.3003 0.3003 0.0937
0.6997 0.6997 0.9063
0.8995 0.8995 0.2978
0.0432 0.0432 0.3667
0.1522 0.1522 0.0459
0.2494 0.2494 0.7810
0.3478 0.3478 0.4167
0.4520 0.4520 0.1850
0.5480 0.5480 0.8150
0.6522 0.6522 0.5833
0.7506 0.7506 0.2190
0.8478 0.8478 0.9541
0.9568 0.9568 0.6333
```

Record 3
Simulated PXRD pattern of LiCo3NiO8 for Cu Kα (λ = 1.5418 Å), from a cell relaxed with PBE+U.

Main lines, in order of rising 2θ (2θ from 5° to 70°):
17.94°, I = 1000
36.84°, I = 203
37.15°, I = 93
38.32°, I = 57
44.05°, I = 297
44.19°, I = 145
47.80°, I = 56
57.32°, I = 146
62.51°, I = 75
65.79°, I = 78

Structure:
```
LiCo3NiO8
1.0
4.9013 -2.8664 0.0000
4.9013 2.8664 0.0000
-3.2415 0.0000 4.9449
Li Co Ni O
1 3 1 8
direct
0.0000 0.0000 0.0000
0.0000 0.5000 0.5000
0.5000 0.0000 0.5000
0.5000 0.5000 0.5000
0.0000 0.0000 0.5000
0.2137 0.7433 0.7011
0.2281 0.2281 0.6912
0.2567 0.7863 0.2989
0.2595 0.2595 0.2983
0.7405 0.7405 0.7017
0.7433 0.2137 0.7011
0.7719 0.7719 0.3088
0.7863 0.2567 0.2989
```

Record 4
Simulated PXRD pattern of LiCo2NiO6 for Cu Kα (λ = 1.5418 Å), from a cell relaxed with PBE+U.

Main lines, in order of rising 2θ (2θ from 5° to 70°):
18.25°, I = 1000
35.83°, I = 128
37.00°, I = 142
37.43°, I = 100
43.01°, I = 176
44.48°, I = 155
45.00°, I = 150
48.20°, I = 65
56.55°, I = 48
58.13°, I = 49

Structure:
```
LiCo2NiO6
1.0
2.8836 0.0000 0.0000
1.3761 6.3472 0.0000
0.4961 3.1832 11.3303
Li Co Ni O
2 4 2 12
direct
0.0000 0.0000 0.0000
0.0133 0.0000 0.4977
0.3193 0.3416 0.0844
0.3418 0.3400 0.5874
0.6736 0.6591 0.4084
0.6878 0.6633 0.9126
0.0119 0.0011 0.7495
0.9873 0.0028 0.2470
0.1203 0.6914 0.2953
0.1789 0.6509 0.0211
0.1843 0.6877 0.8066
0.2311 0.6455 0.5284
0.4439 0.0373 0.1248
0.4739 0.0353 0.6289
0.5407 0.9691 0.3704
0.5489 0.9675 0.8704
0.8180 0.3157 0.1907
0.8312 0.3552 0.9753
0.8434 0.3142 0.6936
0.8504 0.3494 0.4792
```

Record 5
Simulated PXRD pattern of Li3CoNi3O8 for Cu Kα (λ = 1.5418 Å), from a cell relaxed with PBE+U.

Main lines, in order of rising 2θ (2θ from 5° to 70°):
19.32°, I = 485
20.47°, I = 1000
26.54°, I = 324
34.50°, I = 365
37.21°, I = 413
37.85°, I = 620
41.63°, I = 344
47.39°, I = 697
63.15°, I = 408
65.72°, I = 396

Structure:
```
Li3CoNi3O8
1.0
2.8416 -4.9221 0.0000
2.8416 4.9221 0.0000
-0.0138 0.0000 9.1863
Li Co Ni O
6 2 6 16
direct
0.0842 0.9158 0.5000
0.4088 0.5783 0.0002
0.5783 0.4088 0.5002
0.5786 0.9163 0.5002
0.9158 0.0842 0.0000
0.9163 0.5786 0.0002
0.0802 0.4138 0.4556
0.4138 0.0802 0.9556
0.0871 0.9170 0.2330
0.4073 0.5774 0.7330
0.5774 0.4073 0.2330
0.5774 0.9169 0.2330
0.9170 0.0871 0.7330
0.9169 0.5774 0.7330
0.0744 0.9107 0.8563
0.0818 0.4158 0.8416
0.2284 0.7109 0.5974
0.2286 0.2653 0.5979
0.2653 0.2286 0.0979
0.2654 0.7834 0.0984
0.4158 0.0818 0.3416
0.4194 0.5833 0.3569
0.5833 0.4194 0.8569
0.5836 0.9109 0.8565
0.7109 0.2284 0.0974
0.7456 0.7458 0.1337
0.7458 0.7456 0.6337
0.7834 0.2654 0.5984
0.9107 0.0744 0.3563
0.9109 0.5836 0.3565
```

Record 6
Simulated PXRD pattern of Li2Co3NiO8 for Cu Kα (λ = 1.5418 Å), from a cell relaxed with PBE+U.

Main lines, in order of rising 2θ (2θ from 5° to 70°):
19.20°, I = 1000
37.23°, I = 338
37.34°, I = 121
38.93°, I = 103
45.31°, I = 506
49.55°, I = 55
60.02°, I = 150
65.89°, I = 150
66.15°, I = 147
69.35°, I = 66

Structure:
```
Li2Co3NiO8
1.0
2.8351 1.6369 4.6060
-2.8351 1.6369 4.6060
0.0000 -3.2737 4.6060
Li Co Ni O
2 3 1 8
direct
0.1254 0.1254 0.1254
0.8746 0.8746 0.8746
0.0000 0.5000 0.5000
0.5000 0.0000 0.5000
0.5000 0.5000 0.0000
0.5000 0.5000 0.5000
0.2650 0.2650 0.7091
0.2650 0.7091 0.2650
0.2656 0.2656 0.2656
0.2909 0.7350 0.7350
0.7091 0.2650 0.2650
0.7344 0.7344 0.7344
0.7350 0.2909 0.7350
0.7350 0.7350 0.2909
```